# 1
Starting from a structure optimized by DFT (PBE), the powder X-ray diffraction pattern of Pr2CuSe2O2 was computed for Cu Kα (weighted mean of Kα1 and Kα2).
Lines closer than 0.1° are merged.

Peak list (10 most intense, 10° ≤ 2θ ≤ 90°, low angle first)
| d (Å) | I/Imax |
| --- | --- |
| 3.342 | 100 |
| 2.990 | 44 |
| 2.591 | 29 |
| 2.319 | 12 |
| 2.230 | 22 |
| 2.015 | 42 |
| 1.932 | 18 |
| 1.726 | 15 |
| 1.691 | 13 |
| 1.521 | 18 |

Structural model:
a = 4.0306 Å, b = 4.0306 Å, c = 11.5951 Å
α = 90.00°, β = 90.00°, γ = 120.00°
Space group P-3m1 (No. 164)
One atom of each set of equivalent atoms:
Pr 0.3333 0.6667 0.1314 x2
Cu 0.0000 0.0000 0.5000 x1
Se 0.0000 0.0000 0.3086 x2
O 0.3333 0.6667 0.9220 x2

# 2
Starting from a structure optimized by DFT (PBE), the powder X-ray diffraction pattern of Cs was computed for Cu Kα (weighted mean of Kα1 and Kα2).
Lines closer than 0.1° are merged.

Peak list (10 most intense, 10° ≤ 2θ ≤ 90°, low angle first)
| d (Å) | I/Imax |
| --- | --- |
| 4.999 | 100 |
| 3.535 | 86 |
| 2.886 | 34 |
| 2.500 | 17 |
| 2.236 | 49 |
| 2.041 | 37 |
| 1.666 | 24 |
| 1.581 | 16 |
| 1.507 | 14 |
| 1.336 | 19 |

Structural model:
a = 4.9992 Å, b = 4.9992 Å, c = 4.9992 Å
α = 90.00°, β = 90.00°, γ = 90.00°
Space group Pm-3m (No. 221)
One atom of each set of equivalent atoms:
Cs 0.0000 0.0000 0.0000 x1

# 3
Starting from a structure optimized by DFT (PBE), the powder X-ray diffraction pattern of AcTlCu was computed for Cu Kα (weighted mean of Kα1 and Kα2).
Lines closer than 0.1° are merged.

Peak list (10 most intense, 10° ≤ 2θ ≤ 90°, low angle first)
| d (Å) | I/Imax |
| --- | --- |
| 3.849 | 18 |
| 3.007 | 42 |
| 2.926 | 46 |
| 2.915 | 45 |
| 2.858 | 27 |
| 2.834 | 100 |
| 2.569 | 39 |
| 2.419 | 23 |
| 2.225 | 38 |
| 1.789 | 19 |

Structural model:
a = 4.4500 Å, b = 6.2384 Å, c = 6.7484 Å
α = 93.62°, β = 109.24°, γ = 110.67°
Space group P-1 (No. 2)
One atom of each set of equivalent atoms:
Ac 0.2465 0.3146 0.1777 x2
Tl 0.0948 0.7862 0.4034 x2
Cu 0.4579 0.0868 0.8296 x2